Entry 1:
Starting from a structure optimized by DFT (PBE+U), the powder X-ray diffraction pattern of CaMo3P3O13 was computed for Cu Kα (λ = 1.5418 Å).
Kinematic intensities with the Lorentz-polarization factor, no thermal factor.

```
40
Lattice="7.8399 0.0000 0.0000 0.0000 6.6848 0.0000 -1.8332 0.0000 10.5623" Properties=species:S:1:pos:R:3 pbc="T T T"
Ca 0.8031 1.6712 2.0521
Ca 5.2036 5.0136 8.5102
Mo -0.3677 1.6712 8.3982
Mo 1.3160 5.0136 4.6680
Mo 3.9199 0.0000 0.0000
Mo 3.9199 3.3424 0.0000
Mo 4.6907 1.6712 5.8943
Mo 6.3744 5.0136 2.1641
P 1.2313 5.0136 1.1750
P 0.4566 5.0136 8.0964
P 1.3196 1.6712 5.3546
P 4.6871 5.0136 5.2077
P 5.5501 1.6712 2.4660
P 4.7754 1.6712 9.3874
O -1.7457 1.6712 10.2081
O -0.5012 3.8149 8.3157
O -0.5012 6.2122 8.3157
O 0.6880 5.0136 2.6584
O 0.1251 1.6712 6.3320
O 1.2148 0.4588 4.3722
O 1.2148 2.8836 4.3722
O 2.0246 3.6988 1.0080
O 2.0246 6.3283 1.0080
O 1.1757 5.0136 6.7645
O 1.3285 1.6712 9.5352
O 1.5779 5.0136 9.2135
O 2.6312 1.6712 6.1687
O 3.3755 5.0136 4.3936
O 4.4288 1.6712 1.3488
O 4.6782 5.0136 1.0272
O 4.8311 1.6712 3.7978
O 3.9821 0.3564 9.5544
O 3.9821 2.9860 9.5544
O 4.7919 3.8012 6.1901
O 4.7919 6.2259 6.1901
O 5.8816 5.0136 4.2304
O 5.3187 1.6712 7.9039
O 6.5079 0.4725 2.2466
O 6.5079 2.8698 2.2466
O 7.7524 5.0136 0.3542
```

Most intense lines, 15 to 90 degrees two-theta, low angle first:
d = 5.649 Å, I 25
d = 4.758 Å, I 100
d = 3.442 Å, I 38
d = 3.343 Å, I 51
d = 3.015 Å, I 44
d = 2.894 Å, I 30
d = 2.856 Å, I 24
d = 2.527 Å, I 25
d = 2.424 Å, I 32
d = 1.671 Å, I 27



Entry 2:
Starting from a structure optimized by DFT (PBE+U), the powder X-ray diffraction pattern of Ba2MnNbO6 was computed for Cu Kα (λ = 1.5418 Å).
Kinematic intensities with the Lorentz-polarization factor, no thermal factor.

```
10
Lattice="0.0000 4.1182 4.1182 4.1182 0.0000 4.1182 4.1182 4.1182 0.0000" Properties=species:S:1:pos:R:3 pbc="T T T"
Ba 2.0591 2.0591 2.0591
Ba 6.1773 6.1773 6.1773
Mn 0.0000 0.0000 0.0000
Nb 4.1182 4.1182 4.1182
O 4.1182 4.1182 2.0890
O 4.1182 2.0890 4.1182
O 6.1475 4.1182 4.1182
O 2.0890 4.1182 4.1182
O 4.1182 6.1475 4.1182
O 4.1182 4.1182 6.1475
```

Most intense lines, 15 to 90 degrees two-theta, low angle first:
d = 4.118 Å, I 4
d = 2.912 Å, I 100
d = 2.378 Å, I 11
d = 2.059 Å, I 32
d = 1.681 Å, I 39
d = 1.456 Å, I 20
d = 1.302 Å, I 17
d = 1.242 Å, I 4
d = 1.189 Å, I 6
d = 1.101 Å, I 21



Entry 3:
Starting from a structure optimized by DFT (PBE+U), the powder X-ray diffraction pattern of Li7Mn5O12 was computed for Cu Kα (λ = 1.5418 Å).
Kinematic intensities with the Lorentz-polarization factor, no thermal factor.

```
24
Lattice="5.8528 0.0000 0.0000 2.8449 5.2053 0.0000 2.8241 -0.3131 7.2485" Properties=species:S:1:pos:R:3 pbc="T T T"
Li 0.0000 0.0000 0.0000
Li 1.4396 2.5373 0.0635
Li 4.3460 4.1418 2.4626
Li 5.7197 3.0807 5.0528
Li 4.3603 2.5625 0.0639
Li 5.8516 1.6329 2.4027
Li 7.2452 0.5598 4.9223
Mn 2.9204 1.5972 2.4402
Mn 4.3327 0.5855 4.9152
Mn 5.7612 5.1394 0.0627
Mn 7.2486 4.1429 2.4512
Mn 8.6923 3.1286 4.9352
O 2.8044 3.2349 1.4578
O 1.6111 0.7446 1.2920
O 4.3346 2.3259 3.5532
O 3.0428 -0.0918 3.5487
O 7.1872 4.0139 6.2619
O 5.6921 1.2122 6.1451
O 4.2525 0.8226 1.2078
O 5.8847 3.5637 1.2151
O 8.5345 4.8054 3.8090
O 7.4099 2.2694 3.6527
O 9.9457 4.0395 6.1412
O 8.7851 1.4617 5.9364
```

Most intense lines, 15 to 90 degrees two-theta, low angle first:
d = 4.833 Å, I 100
d = 2.586 Å, I 13
d = 2.518 Å, I 13
d = 2.480 Å, I 13
d = 2.416 Å, I 9
d = 2.157 Å, I 29
d = 2.087 Å, I 27
d = 2.044 Å, I 25
d = 1.502 Å, I 8
d = 1.208 Å, I 10